Starting from the PBE geometry in Alexandria, the powder diffraction line list of Sr4Ge2Pb5 was computed for Cu Kα.
Peak positions follow from Bragg's law for the DFT cell and can differ from measured ones.

Top 6 peaks for 2θ = 5–70°, sorted by position:
| 2theta | I/Imax | h k l |
| --- | --- | --- |
| 18.34 | 1000 | 0 1 0 |
| 28.22 | 669 | 1 1 -2 |
| 29.03 | 735 | 2 1 0 |
| 29.34 | 878 | 1 1 2 |
| 31.49 | 352 | 1 0 3 |
| 37.18 | 623 | 0 2 0 |

Atomic structure:
```
data_Sr4Ge2Pb5
_symmetry_space_group_name_H-M 'P 1 2/m 1'
_symmetry_Int_Tables_number 10
_symmetry_space_group_name_Hall '-P 2y'
_cell_length_a 7.992
_cell_length_b 4.836
_cell_length_c 9.408
_cell_angle_alpha 90.00
_cell_angle_beta 94.25
_cell_angle_gamma 90.00
loop_
_atom_site_label
_atom_site_type_symbol
_atom_site_fract_x
_atom_site_fract_y
_atom_site_fract_z
Sr1 Sr 0.210 0.000 0.361
Sr2 Sr 0.235 0.000 0.906
Ge1 Ge 0.077 0.500 0.123
Pb1 Pb 0.138 0.500 0.635
Pb2 Pb 0.439 0.500 0.157
Pb3 Pb 0.500 0.500 0.500
```